Computed powder diffraction line list of Li4CrTe2WO12 for λ = 1.5418 Å (Cu Kα), from a DFT-relaxed cell (GGA+U, the Materials Project).
Lines closer than 0.1° are merged.

Most intense lines, 10 to 90 degrees two-theta, in order of rising 2θ:
- hkl 0 0 1, d 7.527, I = 9.5
- hkl 0 0 2, d 3.762, I = 100.0
- hkl 2 2 2, d 2.732, I = 39.4
- hkl 2 -2 0, d 2.594, I = 25.8
- hkl 2 2 4, d 2.134, I = 9.8
- hkl 0 0 4, d 1.882, I = 12.0
- hkl 2 0 -3, d 1.719, I = 22.5
- hkl -2 4 1, d 1.650, I = 8.5
- hkl 4 -2 1, d 1.647, I = 8.6
- hkl 4 2 1, d 1.607, I = 7.6

Cell and atoms:
```
data_Li4CrTe2WO12
_chemical_formula_sum 'Li8 Cr2 Te4 W2 O24'
_cell_length_a 7.5408
_cell_length_b 7.5475
_cell_length_c 8.9852
_cell_angle_alpha 66.53
_cell_angle_beta 66.75
_cell_angle_gamma 86.90
_symmetry_space_group_name_H-M 'P 1'
_symmetry_Int_Tables_number 1
loop_
_symmetry_equiv_pos_as_xyz
'x,y,z'
loop_
_atom_site_label
_atom_site_fract_x
_atom_site_fract_y
_atom_site_fract_z
Li1 0.0000 0.0000 0.0000
Li2 0.0186 0.5173 0.9970
Li3 0.2801 0.2779 0.4569
Li4 0.3282 0.8098 0.4378
Li5 0.4946 0.4940 0.9990
Li6 0.5178 0.0214 0.9947
Li7 0.7724 0.7682 0.4566
Li8 0.8271 0.3159 0.4334
Cr1 0.2011 0.1883 0.1926
Cr2 0.6947 0.6962 0.1903
Te1 0.2035 0.6945 0.1951
Te2 0.4432 0.4382 0.6934
Te3 0.7022 0.1945 0.1939
Te4 0.9482 0.9456 0.6913
W1 0.4501 0.9453 0.6957
W2 0.9489 0.4460 0.6957
O1 0.0260 0.1390 0.4539
O2 0.1528 0.5193 0.4449
O3 0.1540 0.4951 0.7562
O4 0.1819 0.4857 0.1292
O5 0.2368 0.9159 0.6274
O6 0.2475 0.9112 0.2444
O7 0.2729 0.8983 0.9347
O8 0.3933 0.2631 0.9495
O9 0.4220 0.2237 0.6152
O10 0.4339 0.2333 0.2476
O11 0.4803 0.6805 0.1156
O12 0.4996 0.6890 0.7565
O13 0.5350 0.6502 0.4342
O14 0.6420 0.0104 0.4442
O15 0.6754 0.0033 0.7449
O16 0.6877 0.9917 0.1191
O17 0.7501 0.4171 0.2351
O18 0.7631 0.3871 0.9346
O19 0.7639 0.4271 0.6098
O20 0.9032 0.7779 0.9280
O21 0.9174 0.7343 0.6234
O22 0.9385 0.7396 0.2376
O23 0.9784 0.1791 0.1209
O24 0.9965 0.1742 0.7475
```